Starting from DFT lattice parameters and positions (GGA-PBE), the powder XRD pattern of K2Cd4In5 was computed for Cu Kα (weighted mean of Kα1 and Kα2).
Kinematic intensities with the Lorentz-polarization factor, no thermal factor.

Structural model:
Lattice parameters (Å, degrees): 7.7147 7.7147 7.7147 130.59 100.43 99.69
Element x y z (fractional)
K 0.1950 0.0000 0.1950
K 0.8050 0.0000 0.8050
Cd 0.0801 0.3354 0.7448
Cd 0.4094 0.6646 0.7448
Cd 0.5906 0.3354 0.2552
Cd 0.9199 0.6646 0.2552
In 0.0000 0.5000 0.5000
In 0.3267 0.0666 0.7399
In 0.3267 0.5867 0.2601
In 0.6733 0.4133 0.7399
In 0.6733 0.9334 0.2601

Main lines, sorted by position (10° ≤ 2θ ≤ 80°):
5.409 Å, 16.39°, I 56
3.144 Å, 28.39°, I 65
2.929 Å, 30.52°, I 46
2.700 Å, 33.18°, I 100
2.531 Å, 35.46°, I 99
2.468 Å, 36.40°, I 53
2.373 Å, 37.92°, I 49
2.248 Å, 40.10°, I 31
1.695 Å, 54.10°, I 27
1.659 Å, 55.38°, I 27